Record 1
Diffraction record for MgCoO2. The X-ray diffraction stick pattern is theoretical, not measured: it uses a structure optimized by DFT (GGA+U) and Cu Ka.
No peak broadening, texture or thermal motion is included.

Cell and atoms:
Cell: 3.040 8.022 8.162 Å, 86.42 88.96 79.38°
Space group P-1 (No. 2)
Unique sites:
1 Mg 0.049 0.378 0.250 x2
2 Mg 0.148 0.209 0.947 x2
3 Co 0.307 0.925 0.729 x2
4 Co 0.366 0.727 0.362 x2
5 O 0.079 0.374 0.747 x2
6 O 0.262 0.943 0.186 x2
7 O 0.396 0.718 0.907 x2
8 O 0.404 0.733 0.594 x2

Most intense lines, 10 to 80 degrees two-theta, sorted by position:
- hkl 0 1 0, 2θ = 11.24°, I 57
- hkl 0 0 2, 2θ = 21.82°, I 100
- hkl 0 2 0, 2θ = 22.59°, I 47
- hkl 0 2 -2, 2θ = 32.58°, I 56
- hkl 1 2 0, 2θ = 34.18°, I 44
- hkl 0 3 1, 2θ = 35.31°, I 46
- hkl 1 2 -1, 2θ = 36.47°, I 41
- hkl 1 2 2, 2θ = 40.02°, I 59
- hkl -1 1 2, 2θ = 40.48°, I 57
- hkl 2 1 0, 2θ = 60.95°, I 55

Record 2
Diffraction record for Li9Mn2Co5O16. The X-ray diffraction stick pattern is theoretical, not measured: it uses a structure optimized by DFT (GGA+U) and Cu Ka.
No peak broadening, texture or thermal motion is included.

Cell and atoms:
Cell: 2.978 8.079 11.932 Å, 90.76 93.93 90.82°
Space group P-1 (No. 2)
Unique sites:
1 Li 0.000 0.000 0.000 x1
2 Li 0.000 0.000 0.500 x1
3 Li 0.000 0.500 0.000 x1
4 Li 0.009 0.503 0.248 x2
5 Li 0.499 0.253 0.624 x2
6 Li 0.500 0.258 0.121 x2
7 Mn 0.001 0.999 0.250 x2
8 Co 0.000 0.500 0.500 x1
9 Co 0.488 0.252 0.378 x2
10 Co 0.493 0.262 0.881 x2
11 O 0.020 0.241 0.754 x2
12 O 0.022 0.750 0.008 x2
13 O 0.027 0.243 0.256 x2
14 O 0.037 0.739 0.507 x2
15 O 0.471 0.489 0.392 x2
16 O 0.478 0.011 0.371 x2
17 O 0.478 0.019 0.870 x2
18 O 0.495 0.523 0.128 x2

Most intense lines, 10 to 80 degrees two-theta, sorted by position:
- hkl 0 1 -2, 2θ = 18.39°, I 100
- hkl -1 1 2, 2θ = 34.56°, I 18
- hkl 1 1 2, 2θ = 36.67°, I 12
- hkl 0 3 2, 2θ = 36.84°, I 11
- hkl 0 2 -4, 2θ = 37.29°, I 8
- hkl 1 0 -4, 2θ = 41.45°, I 33
- hkl 1 0 4, 2θ = 44.56°, I 26
- hkl 0 4 0, 2θ = 44.89°, I 25
- hkl 2 0 0, 2θ = 62.54°, I 8
- hkl 1 4 -4, 2θ = 62.74°, I 15

Record 3
Diffraction record for MgCo3NiO8. The X-ray diffraction stick pattern is theoretical, not measured: it uses a structure optimized by DFT (GGA+U) and Cu Ka.
No peak broadening, texture or thermal motion is included.

Cell and atoms:
Cell: 5.7247 5.7247 14.8768 Å, 90.00 90.00 120.00°
Space group R-3m (No. 166, hexagonal axes)
Unique sites:
1 Mg 0.0000 0.0000 0.0000 x3
2 Co 0.0000 0.5000 0.5000 x9
3 Ni 0.0000 0.0000 0.5000 x3
4 O 0.0000 0.0000 0.2325 x6
5 O 0.0253 0.5127 0.7642 x18

Most intense lines, 10 to 80 degrees two-theta, sorted by position:
- hkl 0 0 3, 2θ = 17.89°, I 100
- hkl 0 2 1, 2θ = 36.76°, I 30
- hkl 2 0 2, 2θ = 38.27°, I 14
- hkl 0 2 4, 2θ = 43.89°, I 60
- hkl 2 0 5, 2θ = 47.76°, I 9
- hkl 0 2 7, 2θ = 57.08°, I 15
- hkl 2 0 8, 2θ = 62.43°, I 16
- hkl 2 2 0, 2θ = 65.18°, I 16
- hkl 2 2 3, 2θ = 68.20°, I 12
- hkl 0 0 12, 2θ = 76.91°, I 7

Record 4
Diffraction record for NaVGe2O6. The X-ray diffraction stick pattern is theoretical, not measured: it uses a structure optimized by DFT (GGA+U) and Cu Ka.
No peak broadening, texture or thermal motion is included.

Cell and atoms:
Cell: 5.588 6.777 13.535 Å, 92.02 101.34 102.50°
Space group P1 (No. 1)
Unique sites:
1 Na 0.000 0.000 0.000 x1
2 Na 0.195 0.390 0.695 x1
3 Na 0.498 0.001 0.500 x1
4 Na 0.697 0.390 0.194 x1
5 V 0.303 0.603 0.301 x1
6 V 0.394 0.789 0.894 x1
7 V 0.801 0.601 0.800 x1
8 V 0.892 0.791 0.394 x1
9 Ge 0.057 0.502 0.038 x1
10 Ge 0.139 0.888 0.656 x1
11 Ge 0.231 0.078 0.251 x1
12 Ge 0.462 0.312 0.943 x1
13 Ge 0.561 0.502 0.539 x1
14 Ge 0.634 0.888 0.156 x1
15 Ge 0.733 0.078 0.751 x1
16 Ge 0.966 0.314 0.444 x1
17 O 0.058 0.673 0.942 x1
18 O 0.098 0.789 0.532 x1
19 O 0.101 0.602 0.162 x1
20 O 0.138 0.717 0.752 x1
21 O 0.220 0.886 0.336 x1
22 O 0.266 0.319 0.520 x1
23 O 0.278 0.349 0.034 x1
24 O 0.326 0.063 0.893 x1
25 O 0.369 0.327 0.301 x1
26 O 0.415 0.042 0.159 x1
27 O 0.432 0.072 0.675 x1
28 O 0.475 0.505 0.858 x1
29 O 0.559 0.672 0.442 x1
30 O 0.597 0.786 0.032 x1
31 O 0.598 0.603 0.663 x1
32 O 0.635 0.719 0.253 x1
33 O 0.721 0.885 0.836 x1
34 O 0.763 0.319 0.019 x1
35 O 0.781 0.349 0.535 x1
36 O 0.827 0.065 0.393 x1
37 O 0.870 0.327 0.802 x1
38 O 0.917 0.041 0.660 x1
39 O 0.929 0.071 0.175 x1
40 O 0.977 0.507 0.359 x1

Most intense lines, 10 to 80 degrees two-theta, sorted by position:
- hkl 0 1 -2, 2θ = 18.21°, I 18
- hkl -1 1 1, 2θ = 19.20°, I 17
- hkl 0 1 2, 2θ = 19.77°, I 22
- hkl 1 1 1, 2θ = 25.90°, I 33
- hkl -1 2 1, 2θ = 28.87°, I 100
- hkl 0 2 -2, 2θ = 29.24°, I 49
- hkl 2 0 -2, 2θ = 33.49°, I 47
- hkl 1 1 3, 2θ = 34.26°, I 22
- hkl 1 0 -5, 2θ = 34.59°, I 59
- hkl 3 1 1, 2θ = 58.63°, I 17

Record 5
Diffraction record for LiNdMn4O12. The X-ray diffraction stick pattern is theoretical, not measured: it uses a structure optimized by DFT (GGA+U) and Cu Ka.
No peak broadening, texture or thermal motion is included.

Cell and atoms:
Cell: 5.318 5.318 7.762 Å, 90.00 90.00 90.00°
Space group P4/mmm (No. 123)
Unique sites:
1 Li 0.000 0.000 0.000 x1
2 Nd 0.500 0.500 0.500 x1
3 Mn 0.000 0.500 0.236 x4
4 O 0.000 0.500 0.000 x2
5 O 0.000 0.500 0.500 x2
6 O 0.258 0.258 0.269 x8

Most intense lines, 10 to 80 degrees two-theta, sorted by position:
- hkl 0 0 1, 2θ = 11.40°, I 63
- hkl 1 0 0, 2θ = 16.67°, I 62
- hkl 1 0 1, 2θ = 20.24°, I 85
- hkl 1 1 0, 2θ = 23.66°, I 30
- hkl 1 1 1, 2θ = 26.34°, I 50
- hkl 1 1 2, 2θ = 33.17°, I 100
- hkl 2 0 0, 2θ = 33.71°, I 49
- hkl 2 1 1, 2θ = 39.64°, I 29
- hkl 2 2 0, 2θ = 48.41°, I 55
- hkl 3 1 2, 2θ = 59.95°, I 37